Record 1
This entry pairs a crystal structure of ErAlGa with its theoretical PXRD pattern. Radiation: Cu Kα (weighted mean of Kα1 and Kα2). Structure: the GGA-PBE geometry in the Materials Project.

Structural model:
Cell lengths 4.4617, 4.4617, 3.4961 Å; angles 90.00, 90.00, 120.00 degrees
Space group P-6m2 (No. 187)
Symmetry-distinct sites (fractional):
Er: 0.0000 0.0000 0.0000 [1 per cell]
Al: 0.3333 0.6667 0.5000 [1 per cell]
Ga: 0.6667 0.3333 0.5000 [1 per cell]

Most intense lines, 2θ = 10–90°, most intense first:
d [Å]  two_theta  intensity
2.592  34.60  100
2.231  40.43  48
3.864  23.02  43
1.691  54.25  28
1.348  69.79  26
1.376  68.15  20
1.116  87.42  12
1.288  73.53  8
1.748  52.34  7
1.593  57.90  7
1.932  47.04  7
1.460  63.72  5

Record 2
This entry pairs a crystal structure of SiO2 with its theoretical PXRD pattern. Radiation: Cu Kα (weighted mean of Kα1 and Kα2). Structure: the GGA-PBE geometry in the Materials Project.

Structural model:
Cell lengths 10.3175, 12.7347, 14.1687 Å; angles 90.00, 90.00, 90.00 degrees
Space group C222 (No. 21)
Symmetry-distinct sites (fractional):
Si: 0.0000 0.0000 0.1356 [4 per cell]
Si: 0.0000 0.1626 0.0000 [4 per cell]
Si: 0.0000 0.3393 0.5000 [4 per cell]
Si: 0.0000 0.5000 0.3611 [4 per cell]
Si: 0.1113 0.2980 0.6846 [8 per cell]
Si: 0.1123 0.2009 0.1827 [8 per cell]
O: 0.0005 0.2475 0.7505 [8 per cell]
O: 0.0826 0.4169 0.4280 [8 per cell]
O: 0.0835 0.0842 0.9295 [8 per cell]
O: 0.0902 0.2328 0.0706 [8 per cell]
O: 0.0895 0.2691 0.5716 [8 per cell]
O: 0.1015 0.4268 0.6993 [8 per cell]
O: 0.1047 0.0718 0.1943 [8 per cell]
O: 0.2500 0.2500 0.2157 [4 per cell]
O: 0.2500 0.2500 0.7168 [4 per cell]

Most intense lines, 2θ = 10–90°, most intense first:
d [Å]  two_theta  intensity
6.977  12.69  100
5.159  17.19  27
5.309  16.70  21
6.367  13.91  14
3.857  23.06  9
3.238  27.54  8
4.069  21.84  6
3.006  29.72  5
2.326  38.72  5
7.084  12.49  5
3.434  25.95  4
2.657  33.73  4

Record 3
This entry pairs a crystal structure of Ta2FeRu with its theoretical PXRD pattern. Radiation: Cu Kα (weighted mean of Kα1 and Kα2). Structure: the GGA-PBE geometry in the Materials Project.

Structural model:
Cell lengths 6.2720, 6.2720, 6.2720 Å; angles 90.00, 90.00, 90.00 degrees
Space group Fm-3m (No. 225)
Symmetry-distinct sites (fractional):
Ta: 0.2500 0.2500 0.2500 [8 per cell]
Fe: 0.0000 0.0000 0.0000 [4 per cell]
Ru: 0.0000 0.0000 0.5000 [4 per cell]

Most intense lines, 2θ = 10–90°, most intense first:
d [Å]  two_theta  intensity
2.217  40.69  100
1.280  74.05  34
3.136  28.46  18
1.568  58.90  17
1.109  88.10  11
1.402  66.69  7
1.811  50.40  5
3.621  24.58  2
1.891  48.12  1

Repeat the second record exactly.
This entry pairs a crystal structure of SiO2 with its theoretical PXRD pattern. Radiation: Cu Kα (weighted mean of Kα1 and Kα2). Structure: the GGA-PBE geometry in the Materials Project.

Structural model:
Cell lengths 10.3175, 12.7347, 14.1687 Å; angles 90.00, 90.00, 90.00 degrees
Space group C222 (No. 21)
Symmetry-distinct sites (fractional):
Si: 0.0000 0.0000 0.1356 [4 per cell]
Si: 0.0000 0.1626 0.0000 [4 per cell]
Si: 0.0000 0.3393 0.5000 [4 per cell]
Si: 0.0000 0.5000 0.3611 [4 per cell]
Si: 0.1113 0.2980 0.6846 [8 per cell]
Si: 0.1123 0.2009 0.1827 [8 per cell]
O: 0.0005 0.2475 0.7505 [8 per cell]
O: 0.0826 0.4169 0.4280 [8 per cell]
O: 0.0835 0.0842 0.9295 [8 per cell]
O: 0.0902 0.2328 0.0706 [8 per cell]
O: 0.0895 0.2691 0.5716 [8 per cell]
O: 0.1015 0.4268 0.6993 [8 per cell]
O: 0.1047 0.0718 0.1943 [8 per cell]
O: 0.2500 0.2500 0.2157 [4 per cell]
O: 0.2500 0.2500 0.7168 [4 per cell]

Most intense lines, 2θ = 10–90°, most intense first:
d [Å]  two_theta  intensity
6.977  12.69  100
5.159  17.19  27
5.309  16.70  21
6.367  13.91  14
3.857  23.06  9
3.238  27.54  8
4.069  21.84  6
3.006  29.72  5
2.326  38.72  5
7.084  12.49  5
3.434  25.95  4
2.657  33.73  4